1.
# Tb2Ge3Ir3
Computed powder diffractogram, a wavelength of 1.5418 Å. Input: DFT lattice parameters and positions (PBE).

Crystal structure
```
data_Tb2Ge3Ir3
_space_group_name_H-M_alt 'P 4/m m m'
_space_group_IT_number 123
_space_group_name_Hall '-P 4 2'
_cell_length_a 2.787
_cell_length_b 2.787
_cell_length_c 21.232
_cell_angle_alpha 90.00
_cell_angle_beta 90.00
_cell_angle_gamma 90.00
loop_
_atom_site_label
_atom_site_fract_x
_atom_site_fract_y
_atom_site_fract_z
Tb1 0.000 0.000 0.242
Ge1 0.000 0.000 0.000
Ge2 0.000 0.000 0.387
Ir1 0.000 0.000 0.118
Ir2 0.000 0.000 0.500
```

Principal peaks in the range 10 to 80 degrees two-theta, by angle:
| two_theta | d [Å] | I_rel | h k l |
| --- | --- | --- | --- |
| 12.51 | 7.077 | 35 | 0 0 3 |
| 20.92 | 4.246 | 5 | 0 0 5 |
| 32.11 | 2.787 | 100 | 1 0 0 |
| 33.77 | 2.654 | 38 | 0 0 8 |
| 34.59 | 2.593 | 13 | 1 0 3 |
| 46.05 | 1.971 | 37 | 1 1 0 |
| 47.29 | 1.922 | 60 | 1 0 8 |
| 47.91 | 1.899 | 5 | 1 1 3 |
| 58.32 | 1.582 | 32 | 1 1 8 |
| 67.17 | 1.394 | 12 | 2 0 0 |
| 76.41 | 1.246 | 17 | 2 1 0 |
| 77.34 | 1.234 | 14 | 2 0 8 |

---

2.
# Cs2NaInH6
Computed powder diffractogram, a wavelength of 1.5418 Å. Input: DFT lattice parameters and positions (PBE).

Crystal structure
```
data_Cs2NaInH6
_space_group_name_H-M_alt 'F m -3 m'
_space_group_IT_number 225
_space_group_name_Hall '-F 4 2 3'
_cell_length_a 8.927
_cell_length_b 8.927
_cell_length_c 8.927
_cell_angle_alpha 90.00
_cell_angle_beta 90.00
_cell_angle_gamma 90.00
loop_
_atom_site_label
_atom_site_fract_x
_atom_site_fract_y
_atom_site_fract_z
Cs1 0.250 0.250 0.250
Na1 0.000 0.000 0.000
In1 0.000 0.000 0.500
H1 0.000 0.000 0.276
```

Principal peaks in the range 10 to 80 degrees two-theta, by angle:
| two_theta | d [Å] | I_rel | h k l |
| --- | --- | --- | --- |
| 17.20 | 5.154 | 12 | 1 1 1 |
| 19.89 | 4.464 | 10 | 2 0 0 |
| 28.28 | 3.156 | 100 | 2 2 0 |
| 33.29 | 2.692 | 7 | 3 1 1 |
| 34.81 | 2.577 | 4 | 2 2 2 |
| 40.42 | 2.232 | 20 | 4 0 0 |
| 44.22 | 2.048 | 3 | 3 3 1 |
| 45.44 | 1.996 | 5 | 4 2 0 |
| 50.06 | 1.822 | 40 | 4 2 2 |
| 58.48 | 1.578 | 13 | 4 4 0 |
| 66.21 | 1.412 | 17 | 6 2 0 |
| 73.50 | 1.289 | 4 | 4 4 4 |

---

3.
# Gd2Si2O7
Computed powder diffractogram, a wavelength of 1.5418 Å. Input: DFT lattice parameters and positions (PBE).

Crystal structure
```
data_Gd2Si2O7
_space_group_name_H-M_alt 'P n m a'
_space_group_IT_number 62
_cell_length_a 14.004
_cell_length_b 8.341
_cell_length_c 5.127
_cell_angle_alpha 90.00
_cell_angle_beta 90.00
_cell_angle_gamma 90.00
loop_
_space_group_symop_operation_xyz
'x,y,z'
'-x,-y,-z'
'-x+1/2,-y,z+1/2'
'x+1/2,y,-z+1/2'
'x+1/2,-y+1/2,-z+1/2'
'-x+1/2,y+1/2,z+1/2'
'-x,y+1/2,-z'
'x,-y+1/2,z'
loop_
_atom_site_label
_atom_site_fract_x
_atom_site_fract_y
_atom_site_fract_z
Gd1 0.126 0.008 0.158
Si1 0.039 0.750 0.625
Si2 0.180 0.250 0.621
O1 0.047 0.584 0.792
O2 0.080 0.250 0.438
O3 0.098 0.750 0.352
O4 0.154 0.250 0.930
O5 0.232 0.088 0.515
```

Principal peaks in the range 10 to 80 degrees two-theta, by angle:
| two_theta | d [Å] | I_rel | h k l |
| --- | --- | --- | --- |
| 21.30 | 4.171 | 46 | 0 2 0 |
| 21.48 | 4.137 | 88 | 2 0 1 |
| 25.44 | 3.501 | 47 | 4 0 0 |
| 28.31 | 3.152 | 47 | 1 2 1 |
| 30.43 | 2.937 | 100 | 2 2 1 |
| 33.42 | 2.681 | 40 | 4 2 0 |
| 35.60 | 2.522 | 21 | 1 0 2 |
| 41.86 | 2.158 | 23 | 1 2 2 |
| 42.56 | 2.124 | 31 | 6 0 1 |
| 48.08 | 1.892 | 32 | 6 2 1 |
| 48.91 | 1.862 | 30 | 2 4 1 |
| 50.97 | 1.792 | 20 | 4 4 0 |